# 1
For As5Cl, a GGA-PBE-relaxed structure gives the calculated powder XRD pattern in this record (Cu Kα (weighted mean of Kα1 and Kα2)).
Intensities are scaled so that the largest is 100.

Crystal structure
Cell lengths 4.076, 4.076, 11.811 Å; angles 101.72, 101.72, 52.18 degrees
Element x y z (fractional)
As (0.000, 0.000, 0.000)
As (0.244, 0.244, 0.731)
As (0.544, 0.544, 0.458)
As (0.666, 0.666, 0.882)
As (0.942, 0.942, 0.584)
Cl (0.299, 0.299, 0.303)

Top 10 peaks for 2θ from 5° to 70°, by angle:
7.68 deg, I = 100
15.40 deg, I = 17
30.53 deg, I = 59
32.39 deg, I = 41
34.61 deg, I = 50
41.62 deg, I = 18
44.42 deg, I = 17
44.94 deg, I = 18
45.80 deg, I = 15
51.18 deg, I = 21

# 2
For Ca4CdHg2, a GGA-PBE-relaxed structure gives the calculated powder XRD pattern in this record (Cu Kα (weighted mean of Kα1 and Kα2)).
Intensities are scaled so that the largest is 100.

Crystal structure
Cell lengths 9.141, 9.141, 9.141 Å; angles 34.18, 34.18, 34.18 degrees
Element x y z (fractional)
Ca (0.123, 0.123, 0.123)
Ca (0.374, 0.374, 0.374)
Ca (0.626, 0.626, 0.626)
Ca (0.877, 0.877, 0.877)
Cd (0.500, 0.500, 0.500)
Hg (0.249, 0.249, 0.249)
Hg (0.751, 0.751, 0.751)

Top 10 peaks for 2θ from 5° to 70°, by angle:
20.29 deg, I = 57
20.66 deg, I = 19
23.58 deg, I = 58
33.35 deg, I = 100
33.82 deg, I = 96
39.55 deg, I = 23
48.23 deg, I = 35
59.60 deg, I = 18
59.90 deg, I = 36
60.80 deg, I = 17